Calculated powder diffraction line list of RbMoIO6 for Cu Kα (weighted mean of Kα1 and Kα2), from a cell relaxed with GGA+U.
Intensities are scaled so that the largest is 100.

Top 6 peaks for 2θ = 10–90°, in order of rising 2θ:
2θ = 14.40°, rel. 91, (0 0 1)
2θ = 22.47°, rel. 100, (0 2 1)
2θ = 23.17°, rel. 81, (1 1 -1)
2θ = 23.99°, rel. 60, (1 1 1)
2θ = 30.82°, rel. 62, (1 3 0)
2θ = 42.36°, rel. 52, (1 3 -2)

Structure:
```
data_RbMoIO6
_chemical_formula_sum 'Rb2 Mo2 I2 O12'
_cell_length_a 5.3897
_cell_length_b 10.3302
_cell_length_c 6.1579
_cell_angle_alpha 90.00
_cell_angle_beta 92.31
_cell_angle_gamma 90.00
_symmetry_space_group_name_H-M 'C 1 2 1'
_symmetry_Int_Tables_number 5
loop_
_symmetry_equiv_pos_as_xyz
'x,y,z'
'-x,y,-z'
'x+1/2,y+1/2,z'
'-x+1/2,y+1/2,-z'
loop_
_atom_site_label
_atom_site_type_symbol
_atom_site_fract_x
_atom_site_fract_y
_atom_site_fract_z
Rb1 Rb 0.0000 0.0000 0.0000
Mo1 Mo 0.0000 0.3389 0.5000
I1 I 0.0000 0.6770 0.5000
O1 O 0.0352 0.4563 0.2895
O2 O 0.1636 0.8010 0.3242
O3 O 0.1861 0.2031 0.3268
```